Theoretical PXRD pattern
Compound: MgCoP2O7
Radiation: λ = 1.5418 Å (Cu Kα)
Structure: DFT lattice parameters and positions (PBE+U)
No peak broadening, texture or thermal motion is included.

Largest 10 diffraction maxima, in order of rising 2θ, 10 to 90 degrees two-theta:
- 15.9 deg, I = 585
- 17.1 deg, I = 301
- 19.1 deg, I = 1000
- 23.1 deg, I = 145
- 23.9 deg, I = 692
- 30.4 deg, I = 195
- 36.0 deg, I = 236
- 36.1 deg, I = 356
- 37.2 deg, I = 135
- 44.5 deg, I = 127

Structure:
```
MgCoP2O7
1.0
5.187 0.000 0.000
-0.161 5.793 0.000
-0.129 -1.624 5.566
Mg Co P O
1 1 2 7
direct
0.000 0.000 0.000 Mg
0.499 0.827 0.176 Co
0.056 0.100 0.496 P
0.942 0.504 0.902 P
0.150 0.984 0.684 O
0.191 0.647 0.010 O
0.257 0.103 0.301 O
0.741 0.698 0.899 O
0.807 0.990 0.354 O
0.848 0.315 0.017 O
0.999 0.380 0.621 O
```

Theoretical PXRD pattern
Compound: Li9Mn2Co5O16
Radiation: λ = 1.5418 Å (Cu Kα)
Structure: DFT lattice parameters and positions (PBE+U)
No peak broadening, texture or thermal motion is included.

Largest 10 diffraction maxima, in order of rising 2θ, 10 to 90 degrees two-theta:
- 18.3 deg, I = 1000
- 34.6 deg, I = 157
- 36.3 deg, I = 260
- 37.1 deg, I = 83
- 41.7 deg, I = 284
- 44.1 deg, I = 519
- 47.2 deg, I = 98
- 58.1 deg, I = 112
- 62.3 deg, I = 276
- 64.7 deg, I = 107

Structure:
```
Li9Mn2Co5O16
1.0
5.230 0.000 0.000
0.000 2.882 0.000
-2.611 0.000 19.388
Li Mn Co O
9 2 5 16
direct
0.000 0.000 0.000 Li
0.003 0.500 0.245 Li
0.251 0.000 0.381 Li
0.267 0.000 0.876 Li
0.494 0.500 0.002 Li
0.503 0.500 0.503 Li
0.716 0.000 0.116 Li
0.751 0.000 0.629 Li
0.995 0.500 0.753 Li
0.491 0.000 0.248 Mn
0.746 0.500 0.378 Mn
0.005 0.000 0.503 Co
0.203 0.500 0.114 Co
0.253 0.500 0.627 Co
0.497 0.000 0.753 Co
0.788 0.500 0.883 Co
0.104 0.500 0.932 O
0.121 0.500 0.443 O
0.149 0.000 0.683 O
0.173 0.000 0.190 O
0.344 0.000 0.569 O
0.364 0.000 0.066 O
0.367 0.500 0.806 O
0.371 0.500 0.305 O
0.619 0.500 0.692 O
0.626 0.500 0.198 O
0.637 0.000 0.435 O
0.639 0.000 0.930 O
0.832 0.000 0.315 O
0.841 0.000 0.818 O
0.879 0.500 0.558 O
0.884 0.500 0.069 O
```

Theoretical PXRD pattern
Compound: Li3Co11O14
Radiation: λ = 1.5418 Å (Cu Kα)
Structure: DFT lattice parameters and positions (PBE+U)
No peak broadening, texture or thermal motion is included.

Largest 10 diffraction maxima, in order of rising 2θ, 10 to 90 degrees two-theta:
- 21.7 deg, I = 116
- 22.3 deg, I = 190
- 25.0 deg, I = 150
- 37.0 deg, I = 814
- 42.8 deg, I = 1000
- 43.4 deg, I = 477
- 62.1 deg, I = 282
- 62.6 deg, I = 549
- 74.6 deg, I = 164
- 78.8 deg, I = 191

Structure:
```
Li3Co11O14
1.0
2.563 -10.463 0.000
2.563 10.463 0.000
-1.652 0.000 4.860
Li Co O
3 11 14
direct
0.000 0.000 0.000 Li
0.358 0.642 0.500 Li
0.642 0.358 0.500 Li
0.071 0.929 0.500 Co
0.139 0.861 0.000 Co
0.215 0.785 0.500 Co
0.286 0.714 0.000 Co
0.429 0.571 0.000 Co
0.500 0.500 0.500 Co
0.571 0.429 0.000 Co
0.714 0.286 0.000 Co
0.785 0.215 0.500 Co
0.861 0.139 0.000 Co
0.929 0.071 0.500 Co
0.029 0.459 0.252 O
0.103 0.386 0.751 O
0.196 0.330 0.258 O
0.268 0.268 0.731 O
0.330 0.196 0.258 O
0.386 0.103 0.751 O
0.459 0.029 0.252 O
0.541 0.971 0.748 O
0.614 0.897 0.249 O
0.670 0.804 0.742 O
0.732 0.732 0.269 O
0.804 0.670 0.742 O
0.897 0.614 0.249 O
0.971 0.541 0.748 O
```